Structure and calculated powder XRD pattern of Li7CoO4F2 (a DFT-relaxed cell (GGA+U, Alexandria); Cu Kα, 1.54184 Å).
Peak positions follow from Bragg's law for the DFT cell and can differ from measured ones.

Largest 12 diffraction maxima, most intense first, 5 to 70 degrees two-theta:
- 2θ 34.0, I = 100
- 2θ 18.0, I = 90
- 2θ 20.4, I = 89
- 2θ 20.9, I = 80
- 2θ 24.0, I = 72
- 2θ 21.3, I = 69
- 2θ 35.5, I = 63
- 2θ 17.5, I = 58
- 2θ 34.8, I = 57
- 2θ 54.8, I = 54
- 2θ 17.2, I = 53
- 2θ 19.2, I = 47

Crystal structure
a = 5.673 Å, b = 5.818 Å, c = 9.450 Å
α = 97.93°, β = 94.63°, γ = 115.53°
Space group P1 (No. 1)
Inequivalent atoms, fractional coordinates:
Li (0.000, 0.000, 0.000) (multiplicity 1)
Li (0.004, 0.333, 0.398) (multiplicity 1)
Li (0.038, 0.482, 0.156) (multiplicity 1)
Li (0.059, 0.531, 0.871) (multiplicity 1)
Li (0.134, 0.980, 0.762) (multiplicity 1)
Li (0.248, 0.134, 0.497) (multiplicity 1)
Li (0.277, 0.680, 0.630) (multiplicity 1)
Li (0.463, 0.378, 0.306) (multiplicity 1)
Li (0.470, 0.807, 0.392) (multiplicity 1)
Li (0.477, 0.949, 0.135) (multiplicity 1)
Li (0.546, 0.457, 0.695) (multiplicity 1)
Li (0.567, 0.008, 0.849) (multiplicity 1)
Li (0.775, 0.670, 0.515) (multiplicity 1)
Li (0.905, 0.848, 0.254) (multiplicity 1)
Co (0.544, 0.453, 0.034) (multiplicity 1)
Co (0.802, 0.186, 0.644) (multiplicity 1)
O (0.376, 0.107, 0.983) (multiplicity 1)
O (0.381, 0.500, 0.485) (multiplicity 1)
O (0.423, 0.604, 0.172) (multiplicity 1)
O (0.428, 0.064, 0.654) (multiplicity 1)
O (0.854, 0.021, 0.476) (multiplicity 1)
O (0.890, 0.637, 0.030) (multiplicity 1)
O (0.917, 0.560, 0.673) (multiplicity 1)
O (0.925, 0.149, 0.823) (multiplicity 1)
F (0.313, 0.011, 0.305) (multiplicity 1)
F (0.421, 0.645, 0.823) (multiplicity 1)
F (0.858, 0.539, 0.333) (multiplicity 1)
F (0.883, 0.125, 0.170) (multiplicity 1)